1.
The following is a computed XRD peak list of NdAsRu2C. It was derived from a cell relaxed with GGA-PBE, using Cu Kα, 1.54184 Å.

Cell and atoms:
```
data_NdAsRu2C
_chemical_formula_sum 'Nd4 As4 Ru8 C4'
_cell_length_a 4.002
_cell_length_b 11.144
_cell_length_c 7.348
_cell_angle_alpha 90.00
_cell_angle_beta 90.00
_cell_angle_gamma 90.00
_space_group_name_H-M_alt 'C m c m'
_space_group_IT_number 63
_space_group_name_Hall '-C 2c 2'
loop_
_atom_site_label
_atom_site_type_symbol
_atom_site_fract_x
_atom_site_fract_y
_atom_site_fract_z
Nd1 Nd 0.000 0.047 0.250
As1 As 0.000 0.230 0.750
Ru1 Ru 0.000 0.337 0.054
C1 C 0.000 0.500 0.000
```

Most intense lines, 10 to 90 degrees two-theta, by intensity:
- d 2.630, intensity 1000, (1 1 2)
- d 2.723, intensity 624, (1 3 0)
- d 2.553, intensity 555, (1 3 1)
- d 2.605, intensity 431, (0 4 1)
- d 2.001, intensity 366, (2 0 0)
- d 2.053, intensity 281, (1 1 3)
- d 2.242, intensity 253, (0 2 3)
- d 2.220, intensity 218, (0 4 2)
- d 1.524, intensity 216, (1 5 3)
- d 1.587, intensity 188, (2 4 1)

=====

2.
The following is a computed XRD peak list of PrErCBr. It was derived from a cell relaxed with GGA-PBE, using Cu Kα, 1.54184 Å.

Cell and atoms:
```
data_PrErCBr
_chemical_formula_sum 'Pr3 Er3 C3 Br3'
_cell_length_a 3.7262
_cell_length_b 3.7262
_cell_length_c 22.0213
_cell_angle_alpha 90.00
_cell_angle_beta 90.00
_cell_angle_gamma 120.00
_space_group_name_H-M_alt 'R 3 m'
_space_group_IT_number 160
_space_group_name_Hall 'R 3 -2"'
loop_
_atom_site_label
_atom_site_type_symbol
_atom_site_fract_x
_atom_site_fract_y
_atom_site_fract_z
Pr1 Pr 0.0000 0.0000 0.0000
Er1 Er 0.0000 0.0000 0.7874
C1 C 0.0000 0.0000 0.4016
Br1 Br 0.0000 0.0000 0.2200
```

Most intense lines, 10 to 90 degrees two-theta, by intensity:
- d 2.603, intensity 1000, (0 1 5)
- d 2.784, intensity 778, (1 0 4)
- d 3.193, intensity 501, (1 0 1)
- d 1.863, intensity 426, (1 1 0)
- d 1.482, intensity 340, (1 1 9)
- d 2.447, intensity 267, (0 0 9)
- d 1.819, intensity 217, (1 0 10)
- d 1.515, intensity 187, (2 0 5)
- d 1.175, intensity 163, (1 2 5)
- d 1.414, intensity 154, (0 1 14)